The following is a calculated powder X-ray diffraction pattern of Sr6CaMn4O13. It was derived from a GGA+U-relaxed structure, using Cu Kα (λ = 1.5418 Å).

The 12 most intense peaks (2θ = 5–70°), in order of rising 2θ:
h k l, 2theta, d [Å], I (rel.)
0 1 3, 27.7, 3.217, 56
2 1 -1, 28.2, 3.160, 33
1 3 1, 31.6, 2.835, 100
2 0 2, 32.4, 2.761, 53
1 2 -3, 33.8, 2.650, 28
0 1 4, 36.4, 2.467, 29
1 4 -2, 42.2, 2.139, 30
3 2 0, 43.5, 2.082, 20
3 2 -1, 43.8, 2.066, 17
0 6 0, 55.6, 1.652, 17
3 3 3, 57.3, 1.608, 20
2 6 2, 65.9, 1.417, 15

Atomic structure:
Lattice parameters (Å, degrees): 6.900 9.908 10.213 90.00 94.11 90.00
Space group P2_1 (No. 4)
Symmetry-distinct sites (fractional):
1 Sr 0.002 0.000 0.250 x2
2 Sr 0.162 0.643 0.057 x2
3 Sr 0.163 0.860 0.552 x2
4 Sr 0.335 0.991 0.906 x2
5 Sr 0.338 0.512 0.411 x2
6 Sr 0.491 0.674 0.788 x2
7 Ca 0.494 0.822 0.294 x2
8 Mn 0.072 0.169 0.672 x2
9 Mn 0.076 0.335 0.169 x2
10 Mn 0.276 0.175 0.469 x2
11 Mn 0.277 0.322 0.964 x2
12 O 0.002 0.003 0.753 x2
13 O 0.009 0.105 0.475 x2
14 O 0.011 0.394 0.972 x2
15 O 0.160 0.752 0.795 x2
16 O 0.171 0.749 0.297 x2
17 O 0.177 0.173 0.079 x2
18 O 0.178 0.328 0.579 x2
19 O 0.342 0.098 0.670 x2
20 O 0.343 0.409 0.165 x2
21 O 0.351 0.463 0.854 x2
22 O 0.356 0.023 0.373 x2
23 O 0.492 0.724 0.058 x2
24 O 0.492 0.773 0.551 x2